1.
Structure and computed PXRD pattern of YAg2Cl (a crystal structure in Alexandria, relaxed with GGA-PBE; Cu Kα, 1.54184 Å).
Kinematic intensities with the Lorentz-polarization factor, no thermal factor.

Cell and atoms:
Unit cell a=3.380 b=3.380 c=8.577 alpha=90.00 beta=90.00 gamma=90.00
Atoms (fractional coordinates):
Y 0.000 0.000 0.000
Ag 0.000 0.000 0.417
Ag 0.500 0.500 0.234
Cl 0.500 0.500 0.812

Top 10 peaks for 2θ from 10° to 80°, in order of rising 2θ:
10.31 deg, d = 8.577 Å, intensity 81.0; 20.71 deg, d = 4.289 Å, intensity 10.4; 33.76 deg, d = 2.655 Å, intensity 100.0; 37.63 deg, d = 2.390 Å, intensity 51.2; 39.12 deg, d = 2.303 Å, intensity 14.0; 41.36 deg, d = 2.183 Å, intensity 42.3; 54.27 deg, d = 1.690 Å, intensity 16.8; 65.46 deg, d = 1.426 Å, intensity 26.8; 67.17 deg, d = 1.394 Å, intensity 14.3; 70.46 deg, d = 1.336 Å, intensity 16.2

=====

2.
Structure and computed PXRD pattern of Rb2ZrI5Cl (a crystal structure in Alexandria, relaxed with GGA-PBE; Cu Kα, 1.54184 Å).
Kinematic intensities with the Lorentz-polarization factor, no thermal factor.

Cell and atoms:
Unit cell a=8.194 b=8.194 c=8.194 alpha=118.15 beta=118.15 gamma=93.23
Atoms (fractional coordinates):
Rb 0.000 0.500 0.500
Rb 0.500 0.000 0.500
Zr 0.246 0.246 0.000
I 0.008 0.008 0.514
I 0.008 0.494 0.000
I 0.494 0.008 0.000
I 0.494 0.494 0.486
I 0.502 0.502 0.000
Cl 0.029 0.029 0.000

Top 10 peaks for 2θ from 10° to 80°, in order of rising 2θ:
13.13 deg, d = 6.743 Å, intensity 20.7; 26.44 deg, d = 3.372 Å, intensity 100.0; 30.01 deg, d = 2.977 Å, intensity 56.4; 31.80 deg, d = 2.814 Å, intensity 23.8; 42.96 deg, d = 2.105 Å, intensity 20.5; 44.29 deg, d = 2.045 Å, intensity 37.1; 51.15 deg, d = 1.786 Å, intensity 30.7; 53.47 deg, d = 1.714 Å, intensity 13.3; 54.43 deg, d = 1.686 Å, intensity 19.8; 79.66 deg, d = 1.204 Å, intensity 12.7

=====

3.
Structure and computed PXRD pattern of Ba2AcOs3O12 (a crystal structure in Alexandria, relaxed with GGA-PBE; Cu Kα, 1.54184 Å).
Kinematic intensities with the Lorentz-polarization factor, no thermal factor.

Cell and atoms:
Unit cell a=7.012 b=7.012 c=7.012 alpha=63.90 beta=63.90 gamma=63.90
Atoms (fractional coordinates):
Ba 0.111 0.111 0.111
Ba 0.889 0.889 0.889
Ac 0.500 0.500 0.500
Os 0.000 0.500 0.500
Os 0.500 0.000 0.500
Os 0.500 0.500 0.000
O 0.062 0.636 0.636
O 0.224 0.224 0.614
O 0.224 0.614 0.224
O 0.364 0.364 0.938
O 0.364 0.938 0.364
O 0.386 0.776 0.776
O 0.614 0.224 0.224
O 0.636 0.062 0.636
O 0.636 0.636 0.062
O 0.776 0.386 0.776
O 0.776 0.776 0.386
O 0.938 0.364 0.364

Top 10 peaks for 2θ from 10° to 80°, in order of rising 2θ:
14.78 deg, d = 5.995 Å, intensity 44.3; 28.29 deg, d = 3.155 Å, intensity 60.7; 28.95 deg, d = 3.085 Å, intensity 100.0; 29.80 deg, d = 2.998 Å, intensity 95.4; 30.22 deg, d = 2.957 Å, intensity 53.2; 45.38 deg, d = 1.998 Å, intensity 32.0; 46.26 deg, d = 1.962 Å, intensity 34.4; 49.11 deg, d = 1.855 Å, intensity 52.7; 52.37 deg, d = 1.747 Å, intensity 31.5; 62.86 deg, d = 1.478 Å, intensity 22.3